# Tl5In3Se8
Computed XRD peak list, Cu Kα X-rays. Input: a GGA-PBE-relaxed structure.
Neutral-atom scattering factors, no anomalous dispersion.

Crystal structure
Cell lengths 8.235, 8.235, 7.004 Å; angles 90.00, 90.00, 90.00 degrees
Element x y z (fractional)
Tl  0.000  0.000  0.000
Tl  0.000  0.500  0.000
Tl  0.000  0.500  0.500
Tl  0.500  0.000  0.000
Tl  0.500  0.000  0.500
In  0.000  0.000  0.500
In  0.500  0.500  0.000
In  0.500  0.500  0.500
Se  0.175  0.175  0.742
Se  0.175  0.825  0.258
Se  0.329  0.329  0.250
Se  0.329  0.671  0.750
Se  0.671  0.329  0.750
Se  0.671  0.671  0.250
Se  0.825  0.175  0.258
Se  0.825  0.825  0.742

Top 12 peaks for 5 to 70 degrees two-theta, low angle first:
- 21.58 deg, rel. 495, hkl 2 0 0
- 27.36 deg, rel. 264, hkl 2 1 1
- 30.71 deg, rel. 523, hkl 2 2 0
- 33.60 deg, rel. 1000, hkl 2 0 2
- 34.44 deg, rel. 93, hkl 3 1 0
- 40.28 deg, rel. 273, hkl 2 2 2
- 43.98 deg, rel. 103, hkl 4 0 0
- 49.50 deg, rel. 251, hkl 4 2 0
- 51.49 deg, rel. 254, hkl 4 0 2
- 52.24 deg, rel. 96, hkl 0 0 4
- 56.46 deg, rel. 234, hkl 4 2 2
- 61.83 deg, rel. 143, hkl 2 2 4